Diffraction record for Sc3SeO3. The powder XRD pattern is simulated, not measured: it uses a PBE-relaxed structure and Cu Kα (weighted mean of Kα1 and Kα2).
Intensities are scaled so that the largest is 100.

Cell and atoms:
Cell: 7.397 7.397 7.397 Å, 49.20 49.20 49.20°
Fractional coordinates of all 14 atoms:
Sc 0.097 0.764 0.433
Sc 0.236 0.567 0.903
Sc 0.433 0.097 0.764
Sc 0.567 0.903 0.236
Sc 0.764 0.433 0.097
Sc 0.903 0.236 0.567
Se 0.333 0.333 0.333
Se 0.667 0.667 0.667
O 0.126 0.448 0.795
O 0.205 0.874 0.552
O 0.448 0.795 0.126
O 0.552 0.205 0.874
O 0.795 0.126 0.448
O 0.874 0.552 0.205

Main lines, most intense first (10° ≤ 2θ ≤ 80°):
- 32.18 deg, I 100
- 40.39 deg, I 52
- 51.40 deg, I 42
- 68.30 deg, I 22
- 41.78 deg, I 19
- 17.24 deg, I 18

Diffraction record for PrDyGaHg. The powder XRD pattern is simulated, not measured: it uses a PBE-relaxed structure and Cu Kα (weighted mean of Kα1 and Kα2).
Intensities are scaled so that the largest is 100.

Cell and atoms:
Cell: 3.667 3.667 7.663 Å, 90.00 90.00 90.00°
Fractional coordinates of all 4 atoms:
Pr 0.000 0.000 0.000
Dy 0.000 0.000 0.529
Ga 0.500 0.500 0.753
Hg 0.500 0.500 0.289

Main lines, most intense first (10° ≤ 2θ ≤ 80°):
- 33.84 deg, I 100
- 34.60 deg, I 49
- 61.51 deg, I 36
- 49.73 deg, I 18
- 60.05 deg, I 17
- 26.96 deg, I 13

Diffraction record for Rb3YBr6. The powder XRD pattern is simulated, not measured: it uses a PBE-relaxed structure and Cu Kα (weighted mean of Kα1 and Kα2).
Intensities are scaled so that the largest is 100.

Cell and atoms:
Cell: 8.165 8.663 14.092 Å, 90.00 124.31 90.00°
Fractional coordinates of all 20 atoms:
Rb 0.000 0.000 0.000
Rb 0.000 0.500 0.500
Rb 0.215 0.075 0.744
Rb 0.215 0.425 0.244
Rb 0.785 0.575 0.756
Rb 0.785 0.925 0.256
Y 0.500 0.000 0.500
Y 0.500 0.500 0.000
Br 0.168 0.177 0.446
Br 0.168 0.323 0.946
Br 0.263 0.730 0.427
Br 0.263 0.770 0.927
Br 0.402 0.051 0.276
Br 0.402 0.449 0.776
Br 0.598 0.551 0.224
Br 0.598 0.949 0.724
Br 0.737 0.230 0.073
Br 0.737 0.270 0.573
Br 0.832 0.677 0.054
Br 0.832 0.823 0.554

Main lines, most intense first (10° ≤ 2θ ≤ 80°):
- 30.08 deg, I 100
- 33.73 deg, I 95
- 25.21 deg, I 87
- 25.62 deg, I 79
- 37.68 deg, I 79
- 25.43 deg, I 59